Computed X-ray powder pattern of Na4Pa3MnTe8 for CuKα, from a GGA-PBE-relaxed structure.
Lines closer than 0.1° are merged.

Top 12 peaks for 2θ from 5° to 70°, most intense first:
hkl	two_theta	I/Imax
0 2 4	28.37	100
0 0 3	11.49	44
2 0 8	39.38	40
2 2 0	41.71	35
4 0 4	51.21	19
2 2 12	64.80	17
0 2 1	24.04	16
2 4 4	68.10	16
0 2 7	36.26	13
0 4 8	58.70	12
2 2 3	43.40	11
0 0 12	47.22	7

Structure:
Cell: 8.6627 8.6627 23.1005 Å, 90.00 90.00 120.00°
Space group R-3m (No. 166, hexagonal axes)
One atom of each set of equivalent atoms:
Na1 0.0000 0.0000 0.0000 (multiplicity 3)
Na2 0.0000 0.5000 0.0000 (multiplicity 9)
Pa1 0.0000 0.5000 0.5000 (multiplicity 9)
Mn1 0.0000 0.0000 0.5000 (multiplicity 3)
Te1 0.0000 0.0000 0.2474 (multiplicity 6)
Te2 0.0144 0.5072 0.2431 (multiplicity 18)



Computed X-ray powder pattern of Na2MnPd for CuKα, from a GGA-PBE-relaxed structure.
Lines closer than 0.1° are merged.

Top 9 peaks for 2θ from 5° to 70°, most intense first:
hkl	two_theta	I/Imax
2 2 0	36.97	100
2 0 0	25.91	38
4 2 2	66.61	32
4 0 0	53.28	17
1 1 1	22.39	14
4 2 0	60.17	14
2 2 2	45.70	11
3 1 1	43.65	8
3 3 1	58.50	3

Structure:
Cell: 6.8778 6.8778 6.8778 Å, 90.00 90.00 90.00°
Space group Fm-3m (No. 225)
One atom of each set of equivalent atoms:
Na1 0.2500 0.2500 0.2500 (multiplicity 8)
Mn1 0.0000 0.0000 0.0000 (multiplicity 4)
Pd1 0.0000 0.0000 0.5000 (multiplicity 4)



Computed X-ray powder pattern of NaMn2SiPd for CuKα, from a GGA-PBE-relaxed structure.
Lines closer than 0.1° are merged.

Top 12 peaks for 2θ from 5° to 70°, most intense first:
hkl	two_theta	I/Imax
0 0 1	17.97	100
2 0 0	36.82	86
1 0 1	25.67	77
1 0 0	18.17	73
2 0 1	41.29	64
2 0 2	52.75	58
0 0 2	36.41	44
2 1 1	45.43	32
2 2 0	53.06	28
2 2 2	66.06	28
2 2 1	56.50	21
1 0 2	40.98	18

Structure:
Cell: 4.8817 4.8817 4.9357 Å, 90.00 90.00 90.00°
Space group P4/mmm (No. 123)
One atom of each set of equivalent atoms:
Na1 0.0000 0.0000 0.0000 (multiplicity 1)
Mn1 0.0000 0.5000 0.5000 (multiplicity 2)
Si1 0.5000 0.5000 0.0000 (multiplicity 1)
Pd1 0.0000 0.0000 0.5000 (multiplicity 1)



Computed X-ray powder pattern of Na2PrMnSe4 for CuKα, from a GGA-PBE-relaxed structure.
Lines closer than 0.1° are merged.

Top 12 peaks for 2θ from 5° to 70°, most intense first:
hkl	two_theta	I/Imax
1 1 1	30.43	100
0 0 1	12.62	55
2 0 -2	30.63	45
1 1 -3	42.74	34
3 1 -1	44.68	29
0 2 0	43.99	19
2 0 -3	39.37	18
2 2 -2	54.55	17
2 0 2	43.15	16
1 1 0	25.47	11
2 2 2	63.32	10
2 1 -1	33.89	10

Structure:
Cell: 6.9929 4.1169 7.4030 Å, 90.00 108.65 90.00°
Space group P2/m (No. 10)
One atom of each set of equivalent atoms:
Na1 0.0000 0.0000 0.0000 (multiplicity 1)
Na2 0.5000 0.5000 0.0000 (multiplicity 1)
Pr1 0.0000 0.5000 0.5000 (multiplicity 1)
Mn1 0.5000 0.0000 0.5000 (multiplicity 1)
Se1 0.2788 0.0000 0.7248 (multiplicity 2)
Se2 0.2838 0.5000 0.2809 (multiplicity 2)



Computed X-ray powder pattern of NaMn4Pt5 for CuKα, from a GGA-PBE-relaxed structure.
Lines closer than 0.1° are merged.

Top 12 peaks for 2θ from 5° to 70°, most intense first:
hkl	two_theta	I/Imax
1 1 0	40.03	100
0 1 5	38.95	86
1 0 5	43.16	64
0 1 0	24.91	58
1 0 0	30.83	34
0 0 1	5.83	32
1 2 5	69.07	31
0 0 5	29.45	27
1 1 5	50.47	26
0 2 0	51.11	25
0 1 6	43.87	14
2 0 0	64.23	14

Structure:
Cell: 2.9004 3.5741 15.1654 Å, 90.00 90.00 90.00°
Space group Pmmm (No. 47)
One atom of each set of equivalent atoms:
Na1 0.0000 0.0000 0.0000 (multiplicity 1)
Mn1 0.0000 0.0000 0.2134 (multiplicity 2)
Mn2 0.0000 0.0000 0.4027 (multiplicity 2)
Pt1 0.5000 0.5000 0.1232 (multiplicity 2)
Pt2 0.5000 0.5000 0.3115 (multiplicity 2)
Pt3 0.5000 0.5000 0.5000 (multiplicity 1)



Computed X-ray powder pattern of Na2MnSi3Pt4 for CuKα, from a GGA-PBE-relaxed structure.
Lines closer than 0.1° are merged.

Top 12 peaks for 2θ from 5° to 70°, most intense first:
hkl	two_theta	I/Imax
1 1 2	35.58	100
1 1 1	32.28	85
1 1 4	46.80	83
1 0 1	23.45	68
2 0 0	44.57	65
0 0 3	25.38	56
1 0 2	27.72	51
0 0 2	16.84	45
2 0 3	51.98	34
1 0 5	48.70	25
2 2 0	64.86	21
1 0 3	33.74	19

Structure:
Cell: 4.0660 4.0660 10.5272 Å, 90.00 90.00 90.00°
Space group P-4m2 (No. 115)
One atom of each set of equivalent atoms:
Na1 0.0000 0.5000 0.2498 (multiplicity 2)
Mn1 0.0000 0.0000 0.5000 (multiplicity 1)
Si1 0.0000 0.5000 0.8673 (multiplicity 2)
Si2 0.5000 0.5000 0.5000 (multiplicity 1)
Pt1 0.0000 0.0000 0.0000 (multiplicity 1)
Pt2 0.0000 0.5000 0.6437 (multiplicity 2)
Pt3 0.5000 0.5000 0.0000 (multiplicity 1)



Computed X-ray powder pattern of RbNa2MnS4 for CuKα, from a GGA-PBE-relaxed structure.
Lines closer than 0.1° are merged.

Top 12 peaks for 2θ from 5° to 70°, most intense first:
hkl	two_theta	I/Imax
1 1 2	27.35	100
1 1 0	17.63	49
3 1 2	45.54	43
2 2 0	35.69	29
2 1 1	29.95	29
2 0 4	49.71	26
2 0 0	25.03	18
2 0 2	32.73	16
4 2 0	57.96	11
3 0 1	39.42	10
3 1 4	59.61	10
2 2 2	41.64	10

Structure:
Cell: 7.1160 7.1160 8.5627 Å, 90.00 90.00 90.00°
Space group I-42m (No. 121)
One atom of each set of equivalent atoms:
Rb1 0.0000 0.0000 0.0000 (multiplicity 2)
Na1 0.0000 0.5000 0.2500 (multiplicity 4)
Mn1 0.0000 0.0000 0.5000 (multiplicity 2)
S1 0.1734 0.1734 0.6405 (multiplicity 8)



Computed X-ray powder pattern of NaMnSbS3 for CuKα, from a GGA-PBE-relaxed structure.
Lines closer than 0.1° are merged.

Top 12 peaks for 2θ from 5° to 70°, most intense first:
hkl	two_theta	I/Imax
1 0 -1	13.79	100
2 1 0	31.19	51
0 0 3	30.19	28
1 1 1	27.37	17
3 1 -1	40.07	16
0 1 2	30.34	14
2 1 -1	32.13	13
0 2 0	46.11	13
2 1 3	45.52	12
1 0 2	23.60	11
1 1 -3	38.71	11
4 0 0	43.23	10

Structure:
Cell: 8.4142 3.9368 8.9272 Å, 90.00 95.76 90.00°
Space group P2_1/m (No. 11)
One atom of each set of equivalent atoms:
Na1 0.1469 0.2500 0.1873 (multiplicity 2)
Mn1 0.0954 0.2500 0.5735 (multiplicity 2)
Sb1 0.3605 0.7500 0.8457 (multiplicity 2)
S1 0.1389 0.2500 0.8471 (multiplicity 2)
S2 0.1851 0.7500 0.4754 (multiplicity 2)
S3 0.3897 0.7500 0.1245 (multiplicity 2)



Computed X-ray powder pattern of Na3Tb3MnS8 for CuKα, from a GGA-PBE-relaxed structure.
Lines closer than 0.1° are merged.

Top 12 peaks for 2θ from 5° to 70°, most intense first:
hkl	two_theta	I/Imax
0 0 3	13.12	100
0 2 4	31.90	96
0 2 1	26.81	39
2 0 8	44.79	33
2 2 0	46.67	32
2 2 3	48.70	22
0 2 7	41.13	22
2 0 2	27.90	22
4 0 4	57.65	15
0 0 12	54.42	15
2 0 5	34.63	14
0 0 6	26.43	12

Structure:
Cell: 7.7844 7.7844 20.2401 Å, 90.00 90.00 120.00°
Space group R-3m (No. 166, hexagonal axes)
One atom of each set of equivalent atoms:
Na1 0.0000 0.5000 0.0000 (multiplicity 9)
Tb1 0.0000 0.5000 0.5000 (multiplicity 9)
Mn1 0.0000 0.0000 0.5000 (multiplicity 3)
S1 0.0000 0.0000 0.2431 (multiplicity 6)
S2 0.0369 0.5184 0.2359 (multiplicity 18)



Computed X-ray powder pattern of NaUMnS4 for CuKα, from a GGA-PBE-relaxed structure.
Lines closer than 0.1° are merged.

Top 12 peaks for 2θ from 5° to 70°, most intense first:
hkl	two_theta	I/Imax
1 0 1	14.36	100
1 2 1	25.75	51
2 2 0	31.49	43
2 2 4	47.95	31
1 0 3	28.68	28
3 2 1	42.07	22
0 0 4	35.21	18
1 2 3	35.98	16
0 0 2	17.40	15
2 2 2	36.20	15
2 0 0	22.95	13
0 2 2	27.61	12

Structure:
Cell: 7.7502 8.3558 10.1952 Å, 90.00 90.00 90.00°
Space group Imma (No. 74)
One atom of each set of equivalent atoms:
Na1 0.0000 0.2500 0.1590 (multiplicity 4)
U1 0.0000 0.0000 0.5000 (multiplicity 4)
Mn1 0.2500 0.2500 0.7500 (multiplicity 4)
S1 0.0000 0.0522 0.7509 (multiplicity 8)
S2 0.2170 0.2500 0.4968 (multiplicity 8)



Computed X-ray powder pattern of Na4Y3MnS8 for CuKα, from a GGA-PBE-relaxed structure.
Lines closer than 0.1° are merged.

Top 12 peaks for 2θ from 5° to 70°, most intense first:
hkl	two_theta	I/Imax
0 2 4	31.95	100
0 0 3	13.26	48
2 0 8	45.06	34
2 2 0	46.56	33
0 2 1	26.75	19
4 0 4	57.58	16
0 2 7	41.34	11
2 2 3	48.63	10
0 4 8	66.80	10
2 0 2	27.87	8
4 0 1	54.49	6
2 0 11	57.48	6

Structure:
Cell: 7.8026 7.8026 20.0364 Å, 90.00 90.00 120.00°
Space group R-3m (No. 166, hexagonal axes)
One atom of each set of equivalent atoms:
Na1 0.0000 0.0000 0.0000 (multiplicity 3)
Na2 0.0000 0.5000 0.0000 (multiplicity 9)
Y1 0.0000 0.5000 0.5000 (multiplicity 9)
Mn1 0.0000 0.0000 0.5000 (multiplicity 3)
S1 0.0000 0.0000 0.2433 (multiplicity 6)
S2 0.0198 0.5099 0.2396 (multiplicity 18)



Computed X-ray powder pattern of Na3Sc3MnSe8 for CuKα, from a GGA-PBE-relaxed structure.
Lines closer than 0.1° are merged.

Top 12 peaks for 2θ from 5° to 70°, most intense first:
hkl	two_theta	I/Imax
0 2 4	31.66	100
0 0 3	12.51	34
2 2 0	47.15	33
2 0 8	43.56	31
2 0 2	28.02	23
4 0 4	57.91	16
0 2 7	40.16	15
2 0 11	54.94	10
0 4 8	66.13	8
0 0 6	25.16	7
1 0 1	13.90	6
2 2 3	48.98	5

Structure:
Cell: 7.7103 7.7103 21.2342 Å, 90.00 90.00 120.00°
Space group R-3m (No. 166, hexagonal axes)
One atom of each set of equivalent atoms:
Na1 0.0000 0.5000 0.0000 (multiplicity 9)
Sc1 0.0000 0.5000 0.5000 (multiplicity 9)
Mn1 0.0000 0.0000 0.5000 (multiplicity 3)
Se1 0.0000 0.0000 0.2395 (multiplicity 6)
Se2 0.0187 0.5094 0.2358 (multiplicity 18)



Computed X-ray powder pattern of Na3MnSe3 for CuKα, from a GGA-PBE-relaxed structure.
Lines closer than 0.1° are merged.

Top 12 peaks for 2θ from 5° to 70°, most intense first:
hkl	two_theta	I/Imax
3 1 2	24.90	100
6 2 0	40.21	46
6 0 4	42.65	45
1 1 1	16.04	40
0 2 4	40.80	39
0 2 0	26.78	34
6 0 0	29.41	33
0 0 4	30.18	31
3 3 2	46.20	24
0 0 2	14.96	18
2 2 1	29.57	15
9 1 2	49.52	14

Structure:
Cell: 18.2192 6.6521 11.8436 Å, 90.00 90.00 90.00°
Space group Cmce (No. 64)
One atom of each set of equivalent atoms:
Na1 0.0000 0.1513 0.1494 (multiplicity 8)
Na2 0.1818 0.1617 0.8710 (multiplicity 16)
Mn1 0.0874 0.0000 0.5000 (multiplicity 8)
Se1 0.0000 0.2105 0.3962 (multiplicity 8)
Se2 0.1564 0.2155 0.6209 (multiplicity 16)